Starting from a DFT-relaxed cell (GGA-PBE, the Materials Project), the powder X-ray diffraction pattern of Mg3CuSn2S8 was computed for a wavelength of 1.5418 Å.
Lines closer than 0.1° are merged.

Structural model:
```
data_Mg3CuSn2S8
_chemical_formula_sum 'Mg6 Cu2 Sn4 S16'
_space_group_name_H-M_alt 'I m m 2'
_space_group_IT_number 44
_space_group_name_Hall 'I 2 -2'
_cell_length_a 7.4277
_cell_length_b 7.6029
_cell_length_c 10.5099
_cell_angle_alpha 90.00
_cell_angle_beta 90.00
_cell_angle_gamma 90.00
loop_
_atom_site_label
_atom_site_fract_x
_atom_site_fract_y
_atom_site_fract_z
Mg1 0.0000 0.0000 0.0000
Mg2 0.2503 0.0000 0.3906
Cu1 0.0000 0.5000 0.2787
Sn1 0.0000 0.2491 0.6397
S1 0.0000 0.2413 0.3967
S2 0.0000 0.2694 0.8795
S3 0.2393 0.5000 0.6469
S4 0.2485 0.0000 0.6381
```

Peak list (10 most intense, 2θ = 15–90°, by intensity)
2θ/deg, d [Å], Rel. int., index
27.69, 3.221, 100, 1 2 1
48.75, 1.868, 88, 2 2 4
33.74, 2.657, 68, 2 2 0
28.16, 3.169, 49, 1 0 3
34.12, 2.627, 33, 0 0 4
44.51, 2.035, 32, 3 2 1
23.96, 3.714, 31, 2 0 0
44.81, 2.023, 31, 1 0 5
16.87, 5.255, 27, 0 0 2
47.86, 1.901, 24, 0 4 0